The following is a calculated powder X-ray diffraction pattern of Ho2P2O7. It was derived from a crystal structure in OQMD, relaxed with PBE, using Cu Ka.
Peak positions follow from Bragg's law for the DFT cell and can differ from measured ones.

Most intense lines, 2θ from 5° to 70°, in order of rising 2θ:
d 5.685, I = 48
d 2.969, I = 29
d 2.843, I = 100
d 2.462, I = 29
d 2.259, I = 32
d 1.895, I = 16
d 1.741, I = 46
d 1.665, I = 15
d 1.485, I = 41
d 1.421, I = 10

Structure:
Cell lengths 9.8474, 9.8474, 9.8474 Å; angles 90.00, 90.00, 90.00 degrees
Space group Fd-3m (No. 227, origin choice 2)
One atom of each set of equivalent atoms:
Ho 0.0000 0.0000 0.0000
P 0.0000 0.0000 0.5000
O 0.0732 0.3750 0.8750
O 0.1250 0.1250 0.1250